Structure and computed X-ray diffraction stick pattern of Nd2CuSb4 (a DFT-relaxed cell (PBE, Alexandria); Cu Kα).
No peak broadening, texture or thermal motion is included.

Atomic structure:
abc: 4.4173 4.4173 9.6740
angles: 90.00 90.00 90.00
Space group P-4m2 (No. 115)
Asymmetric unit:
1 Nd 0.0000 0.5000 0.2375 x2
2 Cu 0.5000 0.5000 0.0000 x1
3 Sb 0.0000 0.0000 0.5000 x1
4 Sb 0.0000 0.5000 0.8622 x2
5 Sb 0.5000 0.5000 0.5000 x1

Main lines, by intensity (2θ = 5–70°):
d = 2.624 Å, 34.2 deg, intensity 100, (1 1 2)
d = 2.209 Å, 40.9 deg, intensity 53, (2 0 0)
d = 2.972 Å, 30.1 deg, intensity 43, (1 1 1)
d = 2.605 Å, 34.4 deg, intensity 41, (1 0 3)
d = 1.382 Å, 67.8 deg, intensity 25, (2 1 5)
d = 1.685 Å, 54.5 deg, intensity 22, (2 1 3)
d = 3.225 Å, 27.7 deg, intensity 22, (0 0 3)
d = 3.262 Å, 27.3 deg, intensity 19, (1 0 2)
d = 1.772 Å, 51.6 deg, intensity 19, (1 0 5)
d = 1.562 Å, 59.2 deg, intensity 18, (2 2 0)

=====

Structure and computed X-ray diffraction stick pattern of Pr2Sn5Au3 (a DFT-relaxed cell (PBE, Alexandria); Cu Kα).
No peak broadening, texture or thermal motion is included.

Atomic structure:
abc: 4.7685 25.6033 8.2832
angles: 90.00 90.00 90.00
Space group Cmc2_1 (No. 36)
Asymmetric unit:
1 Pr 0.0000 0.0242 0.0000 x4
2 Pr 0.0000 0.3256 0.9890 x4
3 Sn 0.0000 0.1052 0.6794 x4
4 Sn 0.0000 0.1881 0.1316 x4
5 Sn 0.0000 0.2304 0.7100 x4
6 Sn 0.0000 0.3808 0.4480 x4
7 Sn 0.0000 0.4503 0.8083 x4
8 Au 0.0000 0.1016 0.3284 x4
9 Au 0.0000 0.2711 0.3915 x4
10 Au 0.0000 0.4536 0.1623 x4

Main lines, by intensity (2θ = 5–70°):
d = 2.739 Å, 32.7 deg, intensity 100, (1 7 1)
d = 2.383 Å, 37.8 deg, intensity 80, (2 0 0)
d = 2.936 Å, 30.4 deg, intensity 76, (1 3 2)
d = 2.535 Å, 35.4 deg, intensity 43, (0 4 3)
d = 2.445 Å, 36.8 deg, intensity 31, (0 10 1)
d = 1.737 Å, 52.7 deg, intensity 29, (2 4 3)
d = 2.972 Å, 30.1 deg, intensity 21, (0 6 2)
d = 1.436 Å, 64.9 deg, intensity 17, (3 7 1)
d = 2.104 Å, 43.0 deg, intensity 16, (1 9 2)
d = 2.669 Å, 33.6 deg, intensity 15, (1 5 2)

=====

Structure and computed X-ray diffraction stick pattern of YSn2Pd7Au2 (a DFT-relaxed cell (PBE, Alexandria); Cu Kα).
No peak broadening, texture or thermal motion is included.

Atomic structure:
abc: 5.9096 5.7798 12.7359
angles: 90.00 90.12 90.00
Space group C2/m (No. 12)
Asymmetric unit:
1 Y 0.0000 0.0000 0.0000 x2
2 Sn 0.0008 0.0000 0.6790 x4
3 Pd 0.0000 0.5000 0.0000 x2
4 Pd 0.2475 0.0000 0.4997 x4
5 Pd 0.2495 0.2501 0.8367 x8
6 Au 0.0002 0.5000 0.3177 x4

Main lines, by intensity (2θ = 5–70°):
d = 2.425 Å, 37.1 deg, intensity 100, (2 0 3)
d = 2.389 Å, 37.7 deg, intensity 48, (0 2 3)
d = 2.066 Å, 43.8 deg, intensity 33, (2 2 0)
d = 2.123 Å, 42.6 deg, intensity 31, (0 0 6)
d = 1.478 Å, 62.9 deg, intensity 20, (4 0 0)
d = 1.965 Å, 46.2 deg, intensity 20, (2 2 2)
d = 2.818 Å, 31.8 deg, intensity 18, (0 2 1)
d = 1.858 Å, 49.0 deg, intensity 15, (2 2 -3)
d = 2.890 Å, 30.9 deg, intensity 15, (0 2 0)
d = 1.911 Å, 47.6 deg, intensity 12, (0 2 5)

=====

Structure and computed X-ray diffraction stick pattern of AgAu2I8 (a DFT-relaxed cell (PBE, Alexandria); Cu Kα).
No peak broadening, texture or thermal motion is included.

Atomic structure:
abc: 7.6999 8.5699 9.0096
angles: 75.60 67.31 65.87
Space group P-1 (No. 2)
Asymmetric unit:
1 Ag 0.0000 0.0000 0.0000 x1
2 Au 0.0965 0.6442 0.2066 x2
3 I 0.0699 0.0733 0.6555 x2
4 I 0.2039 0.3845 0.0508 x2
5 I 0.3411 0.5946 0.4358 x2
6 I 0.4289 0.8619 0.8488 x2

Main lines, by intensity (2θ = 5–70°):
d = 4.253 Å, 20.9 deg, intensity 100, (1 1 -1)
d = 3.129 Å, 28.5 deg, intensity 42, (2 0 2)
d = 4.156 Å, 21.4 deg, intensity 36, (1 2 1)
d = 2.504 Å, 35.9 deg, intensity 31, (1 -1 3)
d = 2.537 Å, 35.4 deg, intensity 29, (3 1 1)
d = 6.654 Å, 13.3 deg, intensity 24, (1 0 0)
d = 6.302 Å, 14.1 deg, intensity 22, (1 1 1)
d = 2.690 Å, 33.3 deg, intensity 20, (1 2 3)
d = 2.126 Å, 42.5 deg, intensity 19, (2 2 -2)
d = 2.093 Å, 43.2 deg, intensity 18, (-1 3 1)

=====

Structure and computed X-ray diffraction stick pattern of Tb3Y8Sc (a DFT-relaxed cell (PBE, Alexandria); Cu Kα).
No peak broadening, texture or thermal motion is included.

Atomic structure:
abc: 7.6490 7.6490 15.3404
angles: 90.00 90.00 90.00
Space group I4/mmm (No. 139)
Asymmetric unit:
1 Tb 0.0000 0.0000 0.0000 x2
2 Tb 0.0000 0.5000 0.2500 x4
3 Y 0.2460 0.2460 0.3773 x16
4 Sc 0.0000 0.0000 0.5000 x2

Main lines, by intensity (2θ = 5–70°):
d = 2.707 Å, 33.1 deg, intensity 100, (2 2 0)
d = 4.420 Å, 20.1 deg, intensity 40, (1 1 2)
d = 1.563 Å, 59.1 deg, intensity 36, (4 2 4)
d = 2.308 Å, 39.0 deg, intensity 22, (3 1 2)
d = 1.912 Å, 47.6 deg, intensity 12, (4 0 0)
d = 1.756 Å, 52.1 deg, intensity 10, (3 3 2)
d = 1.354 Å, 69.4 deg, intensity 7, (4 0 8)
d = 1.918 Å, 47.4 deg, intensity 6, (0 0 8)
d = 1.473 Å, 63.1 deg, intensity 5, (5 1 2)
d = 3.828 Å, 23.2 deg, intensity 4, (2 0 0)

=====

Structure and computed X-ray diffraction stick pattern of Tb4Sm9Cd11 (a DFT-relaxed cell (PBE, Alexandria); Cu Kα).
No peak broadening, texture or thermal motion is included.

Atomic structure:
abc: 16.0231 23.1629 3.5893
angles: 90.00 90.00 90.00
Space group Cmmm (No. 65)
Asymmetric unit:
1 Tb 0.1606 0.0876 0.0000 x8
2 Sm 0.0000 0.0000 0.0000 x2
3 Sm 0.1134 0.2348 0.0000 x8
4 Sm 0.1173 0.4101 0.0000 x8
5 Cd 0.0000 0.1313 0.5000 x4
6 Cd 0.0000 0.3250 0.5000 x4
7 Cd 0.0000 0.5000 0.5000 x2
8 Cd 0.2302 0.5000 0.5000 x4
9 Cd 0.2329 0.3197 0.5000 x8

Main lines, by intensity (2θ = 5–70°):
d = 2.630 Å, 34.1 deg, intensity 100, (0 6 1)
d = 2.780 Å, 32.2 deg, intensity 88, (4 6 0)
d = 2.673 Å, 33.5 deg, intensity 80, (4 0 1)
d = 1.508 Å, 61.5 deg, intensity 49, (4 6 2)
d = 2.794 Å, 32.0 deg, intensity 24, (1 5 1)
d = 1.580 Å, 58.4 deg, intensity 23, (5 11 1)
d = 1.795 Å, 50.9 deg, intensity 19, (0 0 2)
d = 2.378 Å, 37.8 deg, intensity 17, (5 1 1)
d = 2.851 Å, 31.4 deg, intensity 13, (2 4 1)
d = 2.003 Å, 45.3 deg, intensity 11, (8 0 0)